Record 1
Diffraction record for Hf2Ta4As3N3. The X-ray diffraction stick pattern is simulated, not measured: it uses DFT lattice parameters and positions (GGA-PBE) and CuKα.
Intensities are scaled so that the largest is 100.

Principal peaks in the range 2θ = 10–80°, by angle:
2theta  d_spacing  Rel. int.
30.8  2.903  14
30.9  2.893  27
31.8  2.817  14
38.4  2.346  100
38.5  2.339  49
45.5  1.994  18
54.8  1.674  25
55.0  1.668  13
55.9  1.643  11
74.0  1.281  12

Structure:
```
Hf2Ta4As3N3
1.0
5.0053 -2.9033 0.0000
5.0053 2.9033 0.0000
-3.3014 0.0000 11.9615
Hf Ta As N
4 8 6 6
direct
0.0326 0.8604 0.6007
0.1396 0.9674 0.8993
0.8604 0.0326 0.1007
0.9674 0.1396 0.3993
0.1950 0.3770 0.0890
0.3154 0.4567 0.4108
0.3770 0.1950 0.5890
0.4567 0.3154 0.9108
0.5433 0.6846 0.0891
0.6230 0.8050 0.4110
0.6846 0.5433 0.5891
0.8050 0.6230 0.9110
0.0814 0.2676 0.7482
0.2676 0.0814 0.2482
0.4333 0.5667 0.7500
0.5667 0.4333 0.2500
0.7324 0.9186 0.7518
0.9186 0.7324 0.2518
0.0000 0.5000 0.5000
0.1559 0.6910 0.0002
0.3090 0.8441 0.4998
0.5000 0.0000 0.0000
0.6910 0.1559 0.5002
0.8441 0.3090 0.9998
```



Record 2
Diffraction record for Hf3Ni4As4. The X-ray diffraction stick pattern is simulated, not measured: it uses DFT lattice parameters and positions (GGA-PBE) and CuKα.
Intensities are scaled so that the largest is 100.

Principal peaks in the range 2θ = 10–80°, by angle:
2theta  d_spacing  Rel. int.
17.2  5.170  27
26.7  3.333  38
28.0  3.191  11
30.9  2.895  37
31.2  2.869  18
44.2  2.047  51
44.5  2.038  100
52.5  1.744  12
55.1  1.666  15
64.4  1.448  16

Structure:
```
Hf3Ni4As4
1.0
-2.8952 2.8952 5.7373
2.8952 -2.8952 5.7373
2.8952 2.8952 -5.7373
Hf Ni As
3 4 4
direct
0.0000 0.0000 0.0000
0.2500 0.7500 0.5000
0.7500 0.2500 0.5000
0.1267 0.6235 0.0000
0.3765 0.3765 0.5033
0.6235 0.1267 0.0000
0.8733 0.8733 0.4967
0.0000 0.5000 0.5000
0.2551 0.2551 0.0000
0.5000 0.0000 0.5000
0.7449 0.7449 0.0000
```



Record 3
Diffraction record for Hf2Ni3As3. The X-ray diffraction stick pattern is simulated, not measured: it uses DFT lattice parameters and positions (GGA-PBE) and CuKα.
Intensities are scaled so that the largest is 100.

Principal peaks in the range 2θ = 10–80°, by angle:
2theta  d_spacing  Rel. int.
33.2  2.701  36
35.4  2.534  57
36.5  2.462  72
37.2  2.418  32
38.2  2.353  100
43.1  2.097  30
44.3  2.046  28
48.9  1.862  49
50.5  1.806  24
68.1  1.377  22

Structure:
```
Hf2Ni3As3
1.0
12.7167 0.0000 0.0000
0.0000 3.7241 0.0000
0.0000 0.0000 10.3577
Hf Ni As
8 12 12
direct
0.0055 0.2500 0.1687
0.2102 0.7500 0.5729
0.2898 0.2500 0.0729
0.4945 0.7500 0.6687
0.5055 0.2500 0.3313
0.7102 0.7500 0.9271
0.7898 0.2500 0.4271
0.9945 0.7500 0.8313
0.0149 0.2500 0.5971
0.1655 0.7500 0.2742
0.2170 0.7500 0.8618
0.2830 0.2500 0.3618
0.3345 0.2500 0.7742
0.4851 0.7500 0.0971
0.5149 0.2500 0.9029
0.6655 0.7500 0.2258
0.7170 0.7500 0.6382
0.7830 0.2500 0.1382
0.8345 0.2500 0.7258
0.9851 0.7500 0.4029
0.1032 0.2500 0.4003
0.1244 0.7500 0.0521
0.1430 0.2500 0.7601
0.3570 0.7500 0.2601
0.3756 0.2500 0.5521
0.3968 0.7500 0.9003
0.6032 0.2500 0.0997
0.6244 0.7500 0.4479
0.6430 0.2500 0.7399
0.8570 0.7500 0.2399
0.8756 0.2500 0.9479
0.8968 0.7500 0.5997
```



Record 4
Diffraction record for Hf2NiAsP. The X-ray diffraction stick pattern is simulated, not measured: it uses DFT lattice parameters and positions (GGA-PBE) and CuKα.
Intensities are scaled so that the largest is 100.

Principal peaks in the range 2θ = 10–80°, by angle:
2theta  d_spacing  Rel. int.
27.9  3.198  70
34.1  2.630  100
38.8  2.322  85
44.2  2.049  21
47.8  1.904  72
56.3  1.635  23
56.6  1.625  20
60.0  1.542  20
63.1  1.472  20
76.9  1.240  39

Structure:
```
Hf2NiAsP
1.0
3.8088 0.0000 0.0000
-1.9044 3.2985 0.0000
0.0000 0.0000 13.0715
Hf Ni As P
4 2 2 2
direct
0.3333 0.6667 0.1167
0.3333 0.6667 0.3833
0.6667 0.3333 0.6167
0.6667 0.3333 0.8833
0.0000 0.0000 0.2500
0.0000 0.0000 0.7500
0.0000 0.0000 0.0000
0.0000 0.0000 0.5000
0.3333 0.6667 0.7500
0.6667 0.3333 0.2500
```



Record 5
Diffraction record for Hf3Ni3As4Pd. The X-ray diffraction stick pattern is simulated, not measured: it uses DFT lattice parameters and positions (GGA-PBE) and CuKα.
Intensities are scaled so that the largest is 100.

Principal peaks in the range 2θ = 10–80°, by angle:
2theta  d_spacing  Rel. int.
12.1  7.330  37
36.3  2.473  52
36.5  2.462  31
36.8  2.444  100
38.3  2.351  88
38.5  2.336  65
39.2  2.296  31
43.9  2.061  74
46.1  1.971  27
47.3  1.921  58

Structure:
```
Hf3Ni3As4Pd
1.0
6.4631 0.0000 0.0000
0.0000 3.8420 0.0000
-0.1031 0.0000 7.3296
Hf Ni As Pd
3 3 4 1
direct
0.0000 0.0000 0.0000
0.0654 0.5000 0.6205
0.5568 0.5000 0.4814
0.1430 0.5000 0.2518
0.6797 0.5000 0.8618
0.8955 0.0000 0.3672
0.2766 0.0000 0.3992
0.2957 0.5000 0.9555
0.7628 0.5000 0.1791
0.7760 0.0000 0.6804
0.3816 0.0000 0.7481
```



Record 6
Diffraction record for Hf3Ni3As4Pd. The X-ray diffraction stick pattern is simulated, not measured: it uses DFT lattice parameters and positions (GGA-PBE) and CuKα.
Intensities are scaled so that the largest is 100.

Principal peaks in the range 2θ = 10–80°, by angle:
2theta  d_spacing  Rel. int.
12.0  7.381  30
13.7  6.449  28
36.5  2.464  100
36.7  2.447  48
37.3  2.412  28
38.4  2.345  81
38.6  2.331  57
39.0  2.309  30
43.7  2.070  68
47.6  1.912  52

Structure:
```
Hf3Ni3As4Pd
1.0
6.4500 0.0000 0.0000
0.0000 3.8230 0.0000
-0.0993 0.0000 7.3810
Hf Ni As Pd
3 3 4 1
direct
0.0000 0.0000 0.0000
0.0619 0.5000 0.3728
0.5090 0.0000 0.8638
0.3988 0.0000 0.2363
0.6904 0.5000 0.1200
0.9100 0.0000 0.6188
0.3039 0.5000 0.0713
0.3191 0.0000 0.5446
0.7671 0.0000 0.3125
0.7786 0.5000 0.7850
0.1753 0.5000 0.7444
```